Li2NiP4O12: computed X-ray diffraction stick pattern (Cu Ka), based on a cell relaxed with PBE+U.
Peak positions follow from Bragg's law for the DFT cell and can differ from measured ones.

Cell lengths 8.4815, 4.7615, 13.6147 Å; angles 90.00, 127.74, 90.00 degrees
Atoms (fractional coordinates):
Li 0.0000 0.0198 0.0000
Li 0.0000 0.9802 0.5000
Li 0.4080 0.0667 0.5134
Li 0.4080 0.9333 0.0134
Ni 0.5062 0.0078 0.2924
Ni 0.5062 0.9922 0.7924
P 0.1370 0.4935 0.4014
P 0.1370 0.5065 0.9014
P 0.1623 0.4950 0.6965
P 0.1623 0.5050 0.1965
P 0.7035 0.4822 0.7295
P 0.7035 0.5178 0.2295
P 0.7198 0.4987 0.0137
P 0.7198 0.5013 0.5137
O 0.1274 0.3593 0.2881
O 0.1274 0.6407 0.7881
O 0.1404 0.2411 0.4679
O 0.1404 0.7589 0.9679
O 0.2075 0.2680 0.1442
O 0.2075 0.7320 0.6442
O 0.2960 0.2481 0.7569
O 0.2958 0.2919 0.9687
O 0.2958 0.7081 0.4687
O 0.2960 0.7519 0.2569
O 0.5582 0.2421 0.6796
O 0.5582 0.7579 0.1796
O 0.5655 0.2724 0.4441
O 0.5655 0.7276 0.9441
O 0.6878 0.2737 0.2923
O 0.6878 0.7263 0.7923
O 0.7122 0.3864 0.1230
O 0.7122 0.6136 0.6230
O 0.7249 0.2431 0.9498
O 0.7249 0.7569 0.4498
O 0.9228 0.3437 0.8264
O 0.9228 0.6563 0.3264
O 0.9400 0.3573 0.5900
O 0.9400 0.6427 0.0900

Main lines, low angle first (5 to 70 degrees two-theta):
Position (°2θ)	d/Å	Rel. int.
16.47	5.383	48
18.64	4.762	84
22.91	3.883	96
23.01	3.865	97
26.58	3.354	59
26.95	3.309	55
32.66	2.742	100
32.94	2.719	86
38.08	2.363	62
58.29	1.583	41


Tl2FeF5: computed X-ray diffraction stick pattern (Cu Ka), based on a cell relaxed with PBE+U.
Peak positions follow from Bragg's law for the DFT cell and can differ from measured ones.

Cell lengths 6.4295, 6.4295, 8.4145 Å; angles 90.00, 90.00, 90.00 degrees
Atoms (fractional coordinates):
Tl 0.0000 0.5000 0.0000
Tl 0.0000 0.5000 0.5000
Tl 0.5000 0.0000 0.0000
Tl 0.5000 0.0000 0.5000
Fe 0.0000 0.0000 0.2313
Fe 0.5000 0.5000 0.7313
F 0.0000 0.0000 0.4510
F 0.2055 0.2055 0.1755
F 0.2055 0.7945 0.1755
F 0.2945 0.2945 0.6755
F 0.2945 0.7055 0.6755
F 0.5000 0.5000 0.9510
F 0.7055 0.2945 0.6755
F 0.7055 0.7055 0.6755
F 0.7945 0.2055 0.1755
F 0.7945 0.7945 0.1755

Main lines, low angle first (5 to 70 degrees two-theta):
Position (°2θ)	d/Å	Rel. int.
19.53	4.546	62
21.12	4.207	27
27.75	3.215	47
28.91	3.088	100
35.13	2.554	49
39.65	2.273	31
44.56	2.033	18
45.35	2.000	16
49.81	1.831	43
51.95	1.760	23


Q: Which formula does entry 2 have?
A: Tl2FeF5